This entry pairs a crystal structure of MnCdTcH with its calculated XRD peak list. Radiation: Cu Kα X-rays. Structure: DFT lattice parameters and positions (PBE).
Lines closer than 0.1° are merged.

The 12 most intense peaks (2θ from 10° to 90°), by intensity:
d [Å], I/Imax
2.296, 100.0
2.015, 60.1
2.426, 30.1
1.454, 24.2
1.210, 18.7
1.397, 18.4
7.277, 14.6
3.639, 14.2
1.193, 11.4
1.713, 10.7
1.148, 9.1
1.247, 8.1

Structural model:
```
data_MnCdTcH
_cell_length_a 2.7937
_cell_length_b 2.7937
_cell_length_c 7.2774
_cell_angle_alpha 90.00
_cell_angle_beta 90.00
_cell_angle_gamma 120.00
_space_group_name_H-M_alt 'P 3 m 1'
_space_group_IT_number 156
_space_group_name_Hall 'P 3 -2"'
loop_
_atom_site_label
_atom_site_type_symbol
_atom_site_fract_x
_atom_site_fract_y
_atom_site_fract_z
_atom_site_occupancy
Mn1 Mn 0.0000 0.0000 0.0000 1
Cd1 Cd 0.3333 0.6667 0.6135 1
Tc1 Tc 0.6667 0.3333 0.2648 1
H1 H 0.3333 0.6667 0.9123 1
```